Structure and calculated XRD peak list of Ba2MgBi2O6 (a structure optimized by DFT (GGA-PBE); Cu Kα).
Neutral-atom scattering factors, no anomalous dispersion.

Principal peaks in the range 10° ≤ 2θ ≤ 80°, low angle first:
18.56°, d 4.781, I 37; 24.70°, d 3.604, I 28; 27.93°, d 3.195, I 57; 28.24°, d 3.161, I 40; 28.82°, d 3.098, I 100; 37.63°, d 2.391, I 14; 40.74°, d 2.215, I 29; 49.81°, d 1.831, I 14; 50.36°, d 1.812, I 17; 51.52°, d 1.774, I 20

Crystal structure
a = 6.1960 Å, b = 6.1960 Å, c = 7.5107 Å
α = 115.44°, β = 115.44°, γ = 61.34°
Sites, in units of the cell vectors:
Ba: 0.0000 0.0000 0.0000
Ba: 0.5741 0.5741 0.7577
Mg: 0.2064 0.2064 0.6298
Bi: 0.3594 0.3594 0.1088
Bi: 0.8006 0.8006 0.4596
O: 0.0422 0.0422 0.6641
O: 0.0777 0.5740 0.6863
O: 0.4793 0.9847 0.1250
O: 0.5459 0.5459 0.3992
O: 0.5740 0.0777 0.6863
O: 0.9847 0.4793 0.1250